Computed X-ray diffraction stick pattern
Compound: K2MnO4
Radiation: CuKα
Structure: a crystal structure in Alexandria, relaxed with PBE+U

Structure:
a b c (Å): 6.9546 6.9546 6.9546
angles (deg): 120.00 120.00 90.00
Atoms (fractional coordinates):
K 0.3750 0.1255 0.2505
K 0.8745 0.6250 0.7495
K 0.8750 0.1245 0.7495
K 0.8755 0.1250 0.2505
Mn 0.2500 0.7500 0.5000
Mn 0.5000 0.5000 0.0000
O 0.1497 0.4552 0.3014
O 0.1517 0.8462 0.3014
O 0.1538 0.8483 0.6986
O 0.2052 0.4038 0.8055
O 0.5448 0.8503 0.6986
O 0.5962 0.7948 0.1945
O 0.5983 0.3997 0.1945
O 0.6003 0.4017 0.8055

The 12 most intense peaks (2θ = 15–90°), low angle first:
two_theta	I/Imax
15.6	57
25.6	411
30.1	1000
36.5	111
45.2	104
48.1	230
52.6	358
61.9	78
71.8	80
74.0	200
83.4	43
85.5	87